(1)
This entry pairs a crystal structure of CuBi2Se4O12 with its theoretical X-ray powder pattern. Radiation: copper Kα. Structure: a cell relaxed with GGA-PBE.
Peak positions follow from Bragg's law for the DFT cell and can differ from measured ones.

Cell and atoms:
Cell lengths 10.831, 7.530, 8.167 Å; angles 90.00, 110.77, 90.00 degrees
Space group P2_1/c (No. 14)
Asymmetric unit:
Cu 0.000 0.000 0.000 [2 per cell]
Bi 0.400 0.114 0.253 [4 per cell]
Se 0.131 0.175 0.387 [4 per cell]
Se 0.313 0.676 0.358 [4 per cell]
O 0.047 0.126 0.823 [4 per cell]
O 0.145 0.116 0.185 [4 per cell]
O 0.296 0.229 0.477 [4 per cell]
O 0.314 0.617 0.564 [4 per cell]
O 0.412 0.523 0.306 [4 per cell]
O 0.422 0.641 0.924 [4 per cell]

Main lines, in order of rising 2θ (15° ≤ 2θ ≤ 90°):
2θ (°)  I_rel  h k l
16.67  34  1 1 -1
26.40  100  0 2 1
26.52  25  2 1 -2
27.50  54  3 1 -1
27.74  48  1 0 2
28.99  30  3 1 0
29.16  44  1 2 1
30.84  41  3 1 -2
35.45  33  4 0 0
46.07  22  2 1 -4

***

(2)
This entry pairs a crystal structure of CsCu3Br6 with its theoretical X-ray powder pattern. Radiation: copper Kα. Structure: a cell relaxed with GGA-PBE.
Peak positions follow from Bragg's law for the DFT cell and can differ from measured ones.

Cell and atoms:
Cell lengths 10.338, 14.256, 11.277 Å; angles 90.00, 90.00, 90.00 degrees
Space group Ibam (No. 72)
Asymmetric unit:
Cs 0.000 0.000 0.250 [4 per cell]
Cu 0.000 0.500 0.250 [4 per cell]
Cu 0.091 0.308 0.000 [8 per cell]
Br 0.006 0.165 0.500 [8 per cell]
Br 0.160 0.398 0.164 [16 per cell]

Main lines, in order of rising 2θ (15° ≤ 2θ ≤ 90°):
2θ (°)  I_rel  h k l
17.03  61  1 2 1
17.15  31  2 0 0
19.90  45  2 1 1
20.08  100  0 2 2
26.57  98  3 1 0
28.19  21  1 2 3
34.46  32  2 4 2
35.04  30  2 3 3
36.30  30  2 0 4
41.84  20  2 6 0

***

(3)
This entry pairs a crystal structure of Sm3Sc5 with its theoretical X-ray powder pattern. Radiation: copper Kα. Structure: a cell relaxed with GGA-PBE.
Peak positions follow from Bragg's law for the DFT cell and can differ from measured ones.

Cell and atoms:
Cell lengths 3.449, 5.426, 11.978 Å; angles 90.00, 90.00, 90.00 degrees
Space group Pmm2 (No. 25)
Asymmetric unit:
Sm 0.000 0.000 0.000 [1 per cell]
Sm 0.000 0.500 0.185 [1 per cell]
Sm 0.500 0.000 0.279 [1 per cell]
Sc 0.000 0.000 0.525 [1 per cell]
Sc 0.000 0.500 0.681 [1 per cell]
Sc 0.500 0.000 0.754 [1 per cell]
Sc 0.500 0.500 0.447 [1 per cell]
Sc 0.500 0.500 0.913 [1 per cell]

Main lines, in order of rising 2θ (15° ≤ 2θ ≤ 90°):
2θ (°)  I_rel  h k l
27.74  17  0 1 3
29.87  25  0 0 4
31.63  13  1 1 1
33.02  26  0 2 0
34.24  100  1 1 2
45.12  16  0 2 4
53.00  10  1 0 6
59.76  19  1 3 2
63.91  19  2 2 0
64.69  9  2 1 4

***

(4)
This entry pairs a crystal structure of Ce5DySn6 with its theoretical X-ray powder pattern. Radiation: copper Kα. Structure: a cell relaxed with GGA-PBE.
Peak positions follow from Bragg's law for the DFT cell and can differ from measured ones.

Cell and atoms:
Cell lengths 4.942, 14.832, 8.967 Å; angles 90.00, 90.00, 90.00 degrees
Space group Cmmm (No. 65)
Asymmetric unit:
Ce 0.000 0.000 0.000 [2 per cell]
Ce 0.000 0.333 0.000 [4 per cell]
Ce 0.000 0.333 0.500 [4 per cell]
Dy 0.000 0.000 0.500 [2 per cell]
Sn 0.000 0.165 0.252 [8 per cell]
Sn 0.000 0.500 0.253 [4 per cell]

Main lines, in order of rising 2θ (15° ≤ 2θ ≤ 90°):
2θ (°)  I_rel  h k l
32.48  100  1 3 2
36.35  37  2 0 0
40.23  14  0 0 4
52.35  13  2 6 0
55.33  22  2 0 4
62.98  30  3 3 2
68.02  12  2 6 4
68.25  12  1 3 6
86.26  7  3 9 2
88.45  6  4 6 0